# 1
The following is a simulated powder diffractogram of AlTe2N2. It was derived from a GGA-PBE-relaxed structure, using a wavelength of 1.5418 Å.
Intensities are scaled so that the largest is 100.

Most intense lines, 2θ from 10° to 90°, by angle:
2θ (°)	intensity	index
14.48	100	0 0 1
29.21	50	0 0 2
31.10	55	1 1 0
34.46	85	1 1 1
43.19	46	1 1 2
44.56	30	2 0 0
47.10	22	2 0 1
54.17	33	2 0 2

Cell and atoms:
Lattice parameters (Å, degrees): 4.0669 4.0669 6.1151 90.00 90.00 90.00
Space group P4/mmm (No. 123)
Inequivalent atoms, fractional coordinates:
Al1 0.0000 0.0000 0.0000
Te1 0.0000 0.0000 0.5000
Te2 0.5000 0.5000 0.5000
N1 0.0000 0.5000 0.0000

---

# 2
The following is a simulated powder diffractogram of Al6W5N16. It was derived from a GGA-PBE-relaxed structure, using a wavelength of 1.5418 Å.
Intensities are scaled so that the largest is 100.

Most intense lines, 2θ from 10° to 90°, by angle:
2θ (°)	intensity	index
19.57	42	2 0 0
24.02	35	2 1 1
27.81	100	2 2 0
34.23	28	2 2 2
37.07	18	3 2 1
39.73	21	4 0 0
49.19	40	4 2 2
57.45	25	4 4 0

Cell and atoms:
Lattice parameters (Å, degrees): 9.0742 9.0742 9.0742 90.00 90.00 90.00
Space group I-43m (No. 217)
Inequivalent atoms, fractional coordinates:
Al1 0.0000 0.2500 0.5000
W1 0.0000 0.0000 0.0000
W2 0.2370 0.2370 0.7630
N1 0.1039 0.3501 0.6499
N2 0.1186 0.1186 0.8814

---

# 3
The following is a simulated powder diffractogram of AlZnN. It was derived from a GGA-PBE-relaxed structure, using a wavelength of 1.5418 Å.
Intensities are scaled so that the largest is 100.

Most intense lines, 2θ from 10° to 90°, by angle:
2θ (°)	intensity	index
15.88	30	0 2 0
28.42	100	0 1 1
32.08	51	0 4 0
43.22	54	2 2 0
49.42	36	0 5 1
49.73	25	2 1 1
55.25	41	2 3 1
73.45	20	2 2 2

Cell and atoms:
Lattice parameters (Å, degrees): 4.5159 11.1604 3.2731 90.00 90.00 90.00
Space group Ama2 (No. 40)
Inequivalent atoms, fractional coordinates:
Al1 0.2500 0.2174 0.0000
Zn1 0.0000 0.0000 0.9982
N1 0.2500 0.2951 0.4998

---

# 4
The following is a simulated powder diffractogram of ZrAl2N. It was derived from a GGA-PBE-relaxed structure, using a wavelength of 1.5418 Å.
Intensities are scaled so that the largest is 100.

Most intense lines, 2θ from 10° to 90°, by angle:
2θ (°)	intensity	index
22.35	42	1 0 1
25.62	47	2 0 0
34.26	100	2 1 1
36.55	58	2 2 0
41.52	67	1 1 2
43.26	31	3 0 1
56.49	44	3 1 2
59.45	22	4 2 0

Cell and atoms:
Lattice parameters (Å, degrees): 6.9532 6.9532 4.8499 90.00 90.00 90.00
Space group I-42d (No. 122)
Inequivalent atoms, fractional coordinates:
Zr1 0.0000 0.0000 0.0000
Al1 0.1549 0.2500 0.6250
N1 0.0000 0.0000 0.5000

---

# 5
The following is a simulated powder diffractogram of Zr3Al3N. It was derived from a GGA-PBE-relaxed structure, using a wavelength of 1.5418 Å.
Intensities are scaled so that the largest is 100.

Most intense lines, 2θ from 10° to 90°, by angle:
2θ (°)	intensity	index
12.45	37	1 1 1
29.00	17	4 0 0
31.67	32	3 3 1
35.71	62	4 2 2
37.96	100	3 3 3
41.47	19	4 4 0
64.16	51	6 6 0
77.04	18	9 3 3

Cell and atoms:
Lattice parameters (Å, degrees): 12.3166 12.3166 12.3166 90.00 90.00 90.00
Space group Fd-3m (No. 227, origin choice 2)
Inequivalent atoms, fractional coordinates:
Zr1 0.0598 0.3750 0.3750
Al1 0.0000 0.0000 0.5000
Al2 0.0408 0.0408 0.7092
N1 0.0000 0.0000 0.0000

---

# 6
The following is a simulated powder diffractogram of Zr6Al2N. It was derived from a GGA-PBE-relaxed structure, using a wavelength of 1.5418 Å.
Intensities are scaled so that the largest is 100.

Most intense lines, 2θ from 10° to 90°, by angle:
2θ (°)	intensity	index
29.87	22	1 1 1
34.83	53	0 1 3
35.26	60	1 0 2
35.51	45	0 4 2
35.66	100	1 3 1
35.91	56	0 5 1
37.89	60	1 2 2
38.39	25	1 4 0

Cell and atoms:
Lattice parameters (Å, degrees): 3.3352 13.1874 7.8789 90.00 90.00 90.00
Space group Amm2 (No. 38)
Inequivalent atoms, fractional coordinates:
Zr1 0.0000 0.0000 0.0000
Zr2 0.0000 0.1136 0.6379
Zr3 0.5000 0.0000 0.3401
Zr4 0.5000 0.2015 0.9563
Al1 0.0000 0.1705 0.2529
N1 0.5000 0.0000 0.8062

---

# 7
The following is a simulated powder diffractogram of Na3Al11. It was derived from a GGA-PBE-relaxed structure, using a wavelength of 1.5418 Å.
Intensities are scaled so that the largest is 100.

Most intense lines, 2θ from 10° to 90°, by angle:
2θ (°)	intensity	index
32.79	26	1 3 0
34.18	23	0 2 4
34.64	100	1 2 3
36.06	38	1 3 2
36.96	37	1 1 4
40.89	97	2 0 0
44.63	28	1 3 4
68.34	28	1 4 7

Cell and atoms:
Lattice parameters (Å, degrees): 4.4131 10.4310 12.1412 90.00 90.00 90.00
Space group Immm (No. 71)
Inequivalent atoms, fractional coordinates:
Na1 0.0000 0.0000 0.0000
Na2 0.0000 0.0000 0.2890
Al1 0.0000 0.1717 0.5000
Al2 0.0000 0.2810 0.1490
Al3 0.0000 0.3707 0.3602
Al4 0.0000 0.5000 0.0000

---

# 8
The following is a simulated powder diffractogram of NaAl6. It was derived from a GGA-PBE-relaxed structure, using a wavelength of 1.5418 Å.
Intensities are scaled so that the largest is 100.

Most intense lines, 2θ from 10° to 90°, by angle:
2θ (°)	intensity	index
16.99	33	1 1 0
24.11	43	2 0 0
29.65	100	2 1 1
42.42	37	2 2 2
46.01	56	3 2 1
49.39	32	4 0 0
55.69	16	4 2 0
72.43	20	4 4 0

Cell and atoms:
Lattice parameters (Å, degrees): 7.3810 7.3810 7.3810 90.00 90.00 90.00
Space group Im-3m (No. 229)
Inequivalent atoms, fractional coordinates:
Na1 0.0000 0.0000 0.0000
Al1 0.0000 0.2500 0.5000

---

# 9
The following is a simulated powder diffractogram of Na5Al. It was derived from a GGA-PBE-relaxed structure, using a wavelength of 1.5418 Å.
Intensities are scaled so that the largest is 100.

Most intense lines, 2θ from 10° to 90°, by angle:
2θ (°)	intensity	index
30.84	25	0 6 0
31.52	28	2 0 0
32.33	100	1 3 1
44.68	17	2 6 0
55.80	13	1 9 1
56.64	18	3 3 1
58.57	8	2 0 2
67.67	9	2 6 2

Cell and atoms:
Lattice parameters (Å, degrees): 5.6763 17.3943 3.7898 90.00 90.00 90.00
Space group Cmmm (No. 65)
Inequivalent atoms, fractional coordinates:
Na1 0.0000 0.0000 0.0000
Na2 0.0000 0.1698 0.5000
Na3 0.0000 0.3528 0.0000
Al1 0.0000 0.5000 0.5000

---

# 10
The following is a simulated powder diffractogram of NaAl. It was derived from a GGA-PBE-relaxed structure, using a wavelength of 1.5418 Å.
Intensities are scaled so that the largest is 100.

Most intense lines, 2θ from 10° to 90°, by angle:
2θ (°)	intensity	index
28.48	11	2 1 1
28.83	13	2 2 0
34.32	33	0 0 2
35.21	100	3 0 1
40.97	10	3 2 1
43.86	21	3 3 0
56.84	19	3 3 2
62.05	18	3 0 3

Cell and atoms:
Lattice parameters (Å, degrees): 8.7582 8.7582 5.2256 90.00 90.00 90.00
Space group I4/mmm (No. 139)
Inequivalent atoms, fractional coordinates:
Na1 0.0000 0.2863 0.0000
Al1 0.1558 0.1558 0.5000

---

# 11
The following is a simulated powder diffractogram of NaNb2Al2. It was derived from a GGA-PBE-relaxed structure, using a wavelength of 1.5418 Å.
Intensities are scaled so that the largest is 100.

Most intense lines, 2θ from 10° to 90°, by angle:
2θ (°)	intensity	index
14.92	100	1 1 0
23.69	53	2 1 0
31.92	22	0 0 1
33.75	45	3 1 0
38.65	71	3 2 0
40.14	92	2 1 1
50.97	39	3 2 1
65.76	24	5 1 1

Cell and atoms:
Lattice parameters (Å, degrees): 8.3985 8.3985 2.8034 90.00 90.00 90.00
Space group P4/mbm (No. 127)
Inequivalent atoms, fractional coordinates:
Na1 0.0000 0.0000 0.0000
Nb1 0.1134 0.3866 0.0000
Al1 0.1786 0.6786 0.5000

---

# 12
The following is a simulated powder diffractogram of Na2NpAlO6. It was derived from a GGA-PBE-relaxed structure, using a wavelength of 1.5418 Å.
Intensities are scaled so that the largest is 100.

Most intense lines, 2θ from 10° to 90°, by angle:
2θ (°)	intensity	index
16.09	100	1 0 0
21.46	40	0 0 1
22.82	69	1 1 0
26.93	62	1 0 1
31.53	76	1 1 1
32.50	35	2 0 0
36.46	30	2 1 0
42.70	39	2 1 1

Cell and atoms:
Lattice parameters (Å, degrees): 5.5099 5.5099 4.1411 90.00 90.00 90.00
Space group P4mm (No. 99)
Inequivalent atoms, fractional coordinates:
Na1 0.0000 0.5000 0.0000
Np1 0.0000 0.0000 0.5153
Al1 0.5000 0.5000 0.4880
O1 0.0000 0.0000 0.0162
O2 0.2548 0.2548 0.5192
O3 0.5000 0.5000 0.0259

---

# 13
The following is a simulated powder diffractogram of NaNpAlO4. It was derived from a GGA-PBE-relaxed structure, using a wavelength of 1.5418 Å.
Intensities are scaled so that the largest is 100.

Most intense lines, 2θ from 10° to 90°, by angle:
2θ (°)	intensity	index
17.93	100	1 1 0
19.49	39	0 2 0
30.34	27	2 0 0
30.78	88	1 1 2
31.75	23	0 2 2
33.19	37	1 3 0
39.58	29	0 4 0
44.48	32	2 2 2

Cell and atoms:
Lattice parameters (Å, degrees): 5.8927 9.1083 7.1773 90.00 90.00 90.00
Space group Cmcm (No. 63)
Inequivalent atoms, fractional coordinates:
Na1 0.0000 0.1770 0.2500
Np1 0.0000 0.5000 0.0000
Al1 0.0000 0.1561 0.7500
O1 0.0000 0.2726 0.5525
O2 0.2451 0.0384 0.7500